1.
Computed PXRD pattern of V2ReAs4 for Cu Kα (λ = 1.5418 Å), from a DFT-relaxed cell (PBE, Alexandria).

Structure:
a = 13.7286 Å, b = 3.2197 Å, c = 6.0410 Å
α = 90.00°, β = 115.38°, γ = 90.00°
Space group C2/m (No. 12)
Asymmetric unit:
V1 0.2480 0.0000 0.2585 (multiplicity 4)
Re1 0.0000 0.5000 0.5000 (multiplicity 2)
As1 0.1204 0.5000 0.2897 (multiplicity 4)
As2 0.1234 0.0000 0.8141 (multiplicity 4)

Largest 12 diffraction maxima, sorted by position, 10 to 80 degrees two-theta:
(0 0 1), 5.458 Å, I = 68.3
(2 0 -1), 5.404 Å, I = 68.8
(4 0 -1), 3.392 Å, I = 33.6
(1 1 0), 3.116 Å, I = 43.7
(4 0 -2), 2.702 Å, I = 43.3
(1 1 1), 2.589 Å, I = 100.0
(2 0 2), 2.177 Å, I = 50.0
(6 0 -2), 2.150 Å, I = 56.3
(3 1 1), 2.101 Å, I = 80.9
(5 1 -1), 2.089 Å, I = 64.4
(3 1 -3), 1.707 Å, I = 76.4
(0 2 0), 1.610 Å, I = 31.8

---

2.
Computed PXRD pattern of LaTa2N4 for Cu Kα (λ = 1.5418 Å), from a DFT-relaxed cell (PBE, Alexandria).

Structure:
a = 3.2035 Å, b = 10.3772 Å, c = 10.5877 Å
α = 90.00°, β = 90.00°, γ = 90.00°
Space group Cmcm (No. 63)
Asymmetric unit:
La1 0.0000 0.1161 0.2500 (multiplicity 4)
Ta1 0.0000 0.3706 0.0647 (multiplicity 8)
N1 0.0000 0.0000 0.0000 (multiplicity 4)
N2 0.0000 0.2641 0.6067 (multiplicity 8)
N3 0.0000 0.4277 0.2500 (multiplicity 4)

Largest 12 diffraction maxima, sorted by position, 10 to 80 degrees two-theta:
(0 0 2), 5.294 Å, I = 13.4
(1 1 1), 2.941 Å, I = 32.8
(0 2 3), 2.918 Å, I = 100.0
(1 1 2), 2.650 Å, I = 47.3
(0 4 0), 2.594 Å, I = 35.9
(1 3 1), 2.295 Å, I = 26.5
(1 3 2), 2.148 Å, I = 32.9
(1 1 5), 1.741 Å, I = 25.1
(1 5 2), 1.655 Å, I = 13.2
(1 3 5), 1.573 Å, I = 16.2
(0 6 3), 1.553 Å, I = 16.6
(2 2 3), 1.404 Å, I = 22.4

---

3.
Computed PXRD pattern of La8Pr3Dy for Cu Kα (λ = 1.5418 Å), from a DFT-relaxed cell (PBE, Alexandria).

Structure:
a = 6.8260 Å, b = 11.4647 Å, c = 11.8261 Å
α = 90.00°, β = 90.00°, γ = 90.00°
Space group Immm (No. 71)
Asymmetric unit:
La1 0.0000 0.1657 0.2481 (multiplicity 8)
La2 0.2241 0.2722 0.5000 (multiplicity 8)
Pr1 0.0000 0.0000 0.5000 (multiplicity 2)
Pr2 0.0000 0.5000 0.2629 (multiplicity 4)
Dy1 0.0000 0.0000 0.0000 (multiplicity 2)

Largest 12 diffraction maxima, sorted by position, 10 to 80 degrees two-theta:
(1 1 0), 5.865 Å, I = 16.2
(0 0 4), 2.956 Å, I = 95.6
(2 2 0), 2.933 Å, I = 27.7
(1 3 2), 2.905 Å, I = 100.0
(2 2 2), 2.627 Å, I = 36.2
(0 4 2), 2.579 Å, I = 16.2
(2 2 4), 2.082 Å, I = 20.3
(3 3 2), 1.856 Å, I = 21.1
(4 0 0), 1.707 Å, I = 17.3
(1 3 6), 1.697 Å, I = 19.4
(0 0 8), 1.478 Å, I = 18.6
(2 6 4), 1.452 Å, I = 19.5

---

4.
Computed PXRD pattern of CaBr2O for Cu Kα (λ = 1.5418 Å), from a DFT-relaxed cell (PBE, Alexandria).

Structure:
a = 15.2433 Å, b = 3.9869 Å, c = 7.0640 Å
α = 90.00°, β = 114.22°, γ = 90.00°
Space group Cc (No. 9)
Asymmetric unit:
Ca1 0.0000 0.2483 0.0000 (multiplicity 4)
Br1 0.1724 0.0913 0.4385 (multiplicity 4)
Br2 0.3651 0.2281 0.0490 (multiplicity 4)
O1 0.0446 0.2501 0.3706 (multiplicity 4)

Largest 12 diffraction maxima, sorted by position, 10 to 80 degrees two-theta:
(1 1 0), 3.832 Å, I = 36.3
(2 0 -2), 3.526 Å, I = 30.9
(0 0 2), 3.221 Å, I = 61.3
(1 1 1), 3.141 Å, I = 25.0
(3 1 -1), 3.070 Å, I = 100.0
(3 1 1), 2.492 Å, I = 34.7
(6 0 -2), 2.406 Å, I = 29.8
(6 0 0), 2.317 Å, I = 29.1
(3 1 -3), 2.025 Å, I = 24.4
(2 2 0), 1.917 Å, I = 18.8
(2 2 2), 1.571 Å, I = 15.5
(8 0 -4), 1.536 Å, I = 17.3